Y8Ir: simulated powder diffraction line list (Cu Kα X-rays), based on a PBE-relaxed structure.

Principal peaks in the range 2θ = 5–70°, sorted by position:
| 2theta | I (rel.) | index |
| --- | --- | --- |
| 11.26 | 64 | 1 0 0 |
| 30.08 | 49 | 2 1 0 |
| 31.01 | 76 | 1 1 1 |
| 33.09 | 100 | 2 0 1 |
| 34.23 | 77 | 3 0 0 |
| 38.73 | 84 | 2 1 1 |
| 56.69 | 49 | 3 2 1 |
| 60.92 | 28 | 3 0 2 |

a = 9.0757 Å, b = 9.0757 Å, c = 3.7348 Å
α = 90.00°, β = 90.00°, γ = 120.00°
Space group P-62m (No. 189)
Symmetry-distinct sites (fractional):
Y  0.0000  0.2396  0.0000 (multiplicity 3)
Y  0.0000  0.6161  0.5000 (multiplicity 3)
Y  0.3333  0.6667  0.0000 (multiplicity 2)
Ir  0.0000  0.0000  0.5000 (multiplicity 1)